The following is a theoretical XRD peak list of SmDy2ThSc. It was derived from the GGA-PBE geometry in Alexandria, using Cu Kα (weighted mean of Kα1 and Kα2).

The 10 most intense peaks (2θ = 15–90°), low angle first:
(hkl)	2θ (°)	d_spacing	intensity
2 0 -1	28.91	3.088	12
1 0 2	29.06	3.073	22
0 2 0	31.54	2.837	37
2 1 -1	33.02	2.712	47
1 1 -3	33.15	2.702	100
1 2 2	43.41	2.084	15
3 0 1	51.33	1.780	19
1 3 -3	57.17	1.611	30
3 2 1	61.50	1.508	21
2 1 4	62.63	1.483	15

Structure:
```
data_SmDy2ThSc
_chemical_formula_sum 'Sm2 Dy4 Th2 Sc2'
_space_group_name_H-M_alt 'P 1 21/m 1'
_space_group_IT_number 11
_cell_length_a 6.177
_cell_length_b 5.673
_cell_length_c 9.380
_cell_angle_alpha 90.00
_cell_angle_beta 109.22
_cell_angle_gamma 90.00
loop_
_space_group_symop_operation_xyz
'x,y,z'
'-x,-y,-z'
'-x,y+1/2,-z'
'x,-y+1/2,z'
loop_
_atom_site_label
_atom_site_fract_x
_atom_site_fract_y
_atom_site_fract_z
Sm1 0.073 0.250 0.308
Dy1 0.142 0.750 0.102
Dy2 0.275 0.250 0.697
Th1 0.471 0.250 0.098
Sc1 0.346 0.750 0.508
```


The following is a theoretical XRD peak list of Sm2Dy4ThSc. It was derived from the GGA-PBE geometry in Alexandria, using Cu Kα (weighted mean of Kα1 and Kα2).

The 10 most intense peaks (2θ = 15–90°), low angle first:
(hkl)	2θ (°)	d_spacing	intensity
2 0 0	30.49	2.931	60
1 1 2	32.68	2.741	100
2 2 0	43.67	2.073	23
0 0 4	49.94	1.826	8
3 1 2	55.59	1.653	44
2 0 4	59.65	1.550	18
2 2 4	68.47	1.370	12
4 2 0	72.04	1.311	10
3 3 2	73.24	1.292	10
5 1 2	89.32	1.097	12

Structure:
```
data_Sm2Dy4ThSc
_chemical_formula_sum 'Sm2 Dy4 Th1 Sc1'
_space_group_name_H-M_alt 'P 4/m m m'
_space_group_IT_number 123
_space_group_name_Hall '-P 4 2'
_cell_length_a 5.863
_cell_length_b 5.863
_cell_length_c 7.305
_cell_angle_alpha 90.00
_cell_angle_beta 90.00
_cell_angle_gamma 90.00
loop_
_atom_site_label
_atom_site_fract_x
_atom_site_fract_y
_atom_site_fract_z
Sm1 0.000 0.000 0.000
Sm2 0.500 0.500 0.000
Dy1 0.000 0.500 0.257
Th1 0.000 0.000 0.500
Sc1 0.500 0.500 0.500
```


The following is a theoretical XRD peak list of Sm2DyThSc. It was derived from the GGA-PBE geometry in Alexandria, using Cu Kα (weighted mean of Kα1 and Kα2).

The 10 most intense peaks (2θ = 15–90°), low angle first:
(hkl)	2θ (°)	d_spacing	intensity
0 2 1	26.18	3.403	31
2 0 0	28.53	3.129	54
1 2 1	29.88	2.990	100
0 1 2	30.21	2.959	29
1 0 2	31.55	2.836	50
2 1 1	33.81	2.651	15
2 2 1	39.12	2.303	55
1 3 2	46.57	1.950	16
3 2 1	51.38	1.779	22
1 1 4	61.21	1.514	17

Structure:
```
data_Sm2DyThSc
_chemical_formula_sum 'Sm4 Dy2 Th2 Sc2'
_space_group_name_H-M_alt 'P m m a'
_space_group_IT_number 51
_cell_length_a 6.258
_cell_length_b 8.056
_cell_length_c 6.362
_cell_angle_alpha 90.00
_cell_angle_beta 90.00
_cell_angle_gamma 90.00
loop_
_space_group_symop_operation_xyz
'x,y,z'
'-x,-y,-z'
'-x+1/2,-y,z'
'x+1/2,y,-z'
'x+1/2,-y,-z'
'-x+1/2,y,z'
'-x,y,-z'
'x,-y,z'
loop_
_atom_site_label
_atom_site_fract_x
_atom_site_fract_y
_atom_site_fract_z
Sm1 0.250 0.197 0.195
Dy1 0.250 0.000 0.675
Th1 0.250 0.500 0.570
Sc1 0.000 0.500 0.000
```


The following is a theoretical XRD peak list of Sm2Dy5ThSc. It was derived from the GGA-PBE geometry in Alexandria, using Cu Kα (weighted mean of Kα1 and Kα2).

The 10 most intense peaks (2θ = 15–90°), low angle first:
(hkl)	2θ (°)	d_spacing	intensity
0 0 2	18.73	4.738	15
0 6 1	26.26	3.394	17
1 3 2	27.46	3.248	24
2 0 0	31.62	2.830	59
1 5 2	32.07	2.791	100
1 1 3	32.76	2.734	52
1 7 0	32.82	2.729	24
1 7 1	34.18	2.623	42
3 5 2	56.61	1.626	24
2 6 5	64.54	1.444	16

Structure:
```
data_Sm2Dy5ThSc
_chemical_formula_sum 'Sm8 Dy20 Th4 Sc4'
_space_group_name_H-M_alt 'C m c 21'
_space_group_IT_number 36
_cell_length_a 5.659
_cell_length_b 21.816
_cell_length_c 9.466
_cell_angle_alpha 90.00
_cell_angle_beta 90.00
_cell_angle_gamma 90.00
loop_
_space_group_symop_operation_xyz
'x,y,z'
'-x,-y,z+1/2'
'-x,y,z'
'x,-y,z+1/2'
'x+1/2,y+1/2,z'
'-x+1/2,-y+1/2,z+1/2'
'-x+1/2,y+1/2,z'
'x+1/2,-y+1/2,z+1/2'
loop_
_atom_site_label
_atom_site_fract_x
_atom_site_fract_y
_atom_site_fract_z
Sm1 0.000 0.115 0.000
Sm2 0.000 0.134 0.609
Dy1 0.000 0.012 0.307
Dy2 0.000 0.268 0.988
Dy3 0.000 0.304 0.599
Dy4 0.000 0.394 0.272
Dy5 0.000 0.472 0.570
Th1 0.000 0.400 0.888
Sc1 0.000 0.192 0.304
```


The following is a theoretical XRD peak list of SmDy2ThSc4. It was derived from the GGA-PBE geometry in Alexandria, using Cu Kα (weighted mean of Kα1 and Kα2).

The 10 most intense peaks (2θ = 15–90°), low angle first:
(hkl)	2θ (°)	d_spacing	intensity
0 0 2	19.58	4.534	28
1 1 0	25.28	3.524	31
1 1 2	32.17	2.782	100
2 0 0	36.05	2.492	37
0 0 4	39.77	2.267	14
2 0 2	41.35	2.184	18
1 1 4	47.71	1.906	12
2 2 0	51.90	1.762	13
2 0 4	54.75	1.677	22
3 1 2	62.39	1.488	29

Structure:
```
data_SmDy2ThSc4
_chemical_formula_sum 'Sm1 Dy2 Th1 Sc4'
_space_group_name_H-M_alt 'P 4/m m m'
_space_group_IT_number 123
_space_group_name_Hall '-P 4 2'
_cell_length_a 4.983
_cell_length_b 4.983
_cell_length_c 9.067
_cell_angle_alpha 90.00
_cell_angle_beta 90.00
_cell_angle_gamma 90.00
loop_
_atom_site_label
_atom_site_fract_x
_atom_site_fract_y
_atom_site_fract_z
Sm1 0.000 0.000 0.000
Dy1 0.000 0.000 0.500
Dy2 0.500 0.500 0.000
Th1 0.500 0.500 0.500
Sc1 0.000 0.500 0.253
```


The following is a theoretical XRD peak list of SmDy2Tm2Sc. It was derived from the GGA-PBE geometry in Alexandria, using Cu Kα (weighted mean of Kα1 and Kα2).

The 10 most intense peaks (2θ = 15–90°), low angle first:
(hkl)	2θ (°)	d_spacing	intensity
2 0 0	26.09	3.415	22
2 2 0	32.22	2.778	100
0 3 1	32.42	2.762	87
0 0 2	32.55	2.750	43
2 3 1	42.08	2.147	25
2 0 2	42.19	2.142	13
2 2 2	46.44	1.956	24
0 6 0	57.71	1.597	34
0 3 3	58.00	1.590	17
4 3 1	64.14	1.452	36

Structure:
```
data_SmDy2Tm2Sc
_chemical_formula_sum 'Sm2 Dy4 Tm4 Sc2'
_space_group_name_H-M_alt 'P n n m'
_space_group_IT_number 58
_cell_length_a 6.831
_cell_length_b 9.580
_cell_length_c 5.501
_cell_angle_alpha 90.00
_cell_angle_beta 90.00
_cell_angle_gamma 90.00
loop_
_space_group_symop_operation_xyz
'x,y,z'
'-x,-y,-z'
'-x,-y,z'
'x,y,-z'
'x+1/2,-y+1/2,-z+1/2'
'-x+1/2,y+1/2,z+1/2'
'-x+1/2,y+1/2,-z+1/2'
'x+1/2,-y+1/2,z+1/2'
loop_
_atom_site_label
_atom_site_fract_x
_atom_site_fract_y
_atom_site_fract_z
Sm1 0.000 0.000 0.000
Dy1 0.246 0.333 0.000
Tm1 0.248 0.667 0.000
Sc1 0.000 0.500 0.500
```


The following is a theoretical XRD peak list of Sm2DyY2Sc. It was derived from the GGA-PBE geometry in Alexandria, using Cu Kα (weighted mean of Kα1 and Kα2).

The 10 most intense peaks (2θ = 15–90°), low angle first:
(hkl)	2θ (°)	d_spacing	intensity
1 1 1	22.39	3.971	20
2 1 1	31.56	2.835	100
0 2 0	32.18	2.781	99
2 0 4	45.70	1.985	35
4 0 0	52.18	1.753	9
2 3 1	56.99	1.616	35
0 3 3	57.38	1.606	18
4 2 0	62.64	1.483	29
2 4 2	76.23	1.249	9
4 3 3	81.24	1.184	13

Structure:
```
data_Sm2DyY2Sc
_chemical_formula_sum 'Sm4 Dy2 Y4 Sc2'
_space_group_name_H-M_alt 'P m m a'
_space_group_IT_number 51
_cell_length_a 7.012
_cell_length_b 5.568
_cell_length_c 9.624
_cell_angle_alpha 90.00
_cell_angle_beta 90.00
_cell_angle_gamma 90.00
loop_
_space_group_symop_operation_xyz
'x,y,z'
'-x,-y,-z'
'-x+1/2,-y,z'
'x+1/2,y,-z'
'x+1/2,-y,-z'
'-x+1/2,y,z'
'-x,y,-z'
'x,-y,z'
loop_
_atom_site_label
_atom_site_fract_x
_atom_site_fract_y
_atom_site_fract_z
Sm1 0.250 0.000 0.150
Sm2 0.250 0.500 0.682
Dy1 0.000 0.500 0.000
Y1 0.000 0.000 0.500
Y2 0.250 0.500 0.342
Sc1 0.250 0.000 0.822
```


The following is a theoretical XRD peak list of Sm3DyYSc. It was derived from the GGA-PBE geometry in Alexandria, using Cu Kα (weighted mean of Kα1 and Kα2).

The 10 most intense peaks (2θ = 15–90°), low angle first:
(hkl)	2θ (°)	d_spacing	intensity
1 1 2	30.89	2.895	100
0 2 0	35.68	2.517	17
1 0 -4	35.81	2.508	17
3 0 0	35.98	2.496	16
1 2 -4	51.44	1.776	12
3 2 0	51.59	1.772	17
1 3 2	61.14	1.516	14
0 1 6	61.31	1.512	14
4 1 2	61.53	1.507	13
2 2 4	64.37	1.447	12

Structure:
```
data_Sm3DyYSc
_chemical_formula_sum 'Sm6 Dy2 Y2 Sc2'
_space_group_name_H-M_alt 'P 1 21/m 1'
_space_group_IT_number 11
_cell_length_a 7.900
_cell_length_b 5.033
_cell_length_c 10.031
_cell_angle_alpha 90.00
_cell_angle_beta 108.57
_cell_angle_gamma 90.00
loop_
_space_group_symop_operation_xyz
'x,y,z'
'-x,-y,-z'
'-x,y+1/2,-z'
'x,-y+1/2,z'
loop_
_atom_site_label
_atom_site_fract_x
_atom_site_fract_y
_atom_site_fract_z
Sm1 0.169 0.250 0.044
Sm2 0.172 0.750 0.790
Sm3 0.176 0.250 0.542
Dy1 0.499 0.750 0.128
Y1 0.175 0.750 0.297
Sc1 0.499 0.250 0.379
```


The following is a theoretical XRD peak list of Sm3Dy2Y6Sc. It was derived from the GGA-PBE geometry in Alexandria, using Cu Kα (weighted mean of Kα1 and Kα2).

The 10 most intense peaks (2θ = 15–90°), low angle first:
(hkl)	2θ (°)	d_spacing	intensity
1 3 1	30.80	2.903	100
2 0 2	35.72	2.514	50
0 6 0	51.40	1.778	29
2 0 -6	51.46	1.776	6
4 0 0	61.11	1.516	31
2 0 6	61.21	1.514	10
2 6 2	64.13	1.452	9
2 6 -6	75.67	1.257	5
4 6 0	83.81	1.154	8
5 3 1	86.51	1.125	5

Structure:
```
data_Sm3Dy2Y6Sc
_chemical_formula_sum 'Sm6 Dy4 Y12 Sc2'
_space_group_name_H-M_alt 'C 1 2/m 1'
_space_group_IT_number 12
_cell_length_a 6.164
_cell_length_b 10.671
_cell_length_c 11.770
_cell_angle_alpha 90.00
_cell_angle_beta 100.02
_cell_angle_gamma 90.00
loop_
_space_group_symop_operation_xyz
'x,y,z'
'-x,-y,-z'
'-x,y,-z'
'x,-y,z'
'x+1/2,y+1/2,z'
'-x+1/2,-y+1/2,-z'
'-x+1/2,y+1/2,-z'
'x+1/2,-y+1/2,z'
loop_
_atom_site_label
_atom_site_fract_x
_atom_site_fract_y
_atom_site_fract_z
Sm1 0.000 0.000 0.000
Sm2 0.000 0.333 0.000
Dy1 0.000 0.166 0.500
Y1 0.247 0.335 0.745
Y2 0.250 0.000 0.746
Sc1 0.000 0.500 0.500
```


The following is a theoretical XRD peak list of DyScSn. It was derived from the GGA-PBE geometry in Alexandria, using Cu Kα (weighted mean of Kα1 and Kα2).

The 10 most intense peaks (2θ = 15–90°), low angle first:
(hkl)	2θ (°)	d_spacing	intensity
1 1 1	25.23	3.530	19
1 1 2	30.35	2.945	61
2 1 0	30.64	2.918	17
1 0 3	31.16	2.870	32
2 1 1	32.16	2.783	100
1 1 3	37.48	2.400	35
3 0 2	39.63	2.274	34
0 2 0	41.29	2.187	29
3 2 2	58.56	1.576	22
2 1 5	59.11	1.563	19

Structure:
```
data_DyScSn
_chemical_formula_sum 'Dy4 Sc4 Sn4'
_space_group_name_H-M_alt 'P n m a'
_space_group_IT_number 62
_cell_length_a 7.835
_cell_length_b 4.373
_cell_length_c 9.254
_cell_angle_alpha 90.00
_cell_angle_beta 90.00
_cell_angle_gamma 90.00
loop_
_space_group_symop_operation_xyz
'x,y,z'
'-x,-y,-z'
'-x+1/2,-y,z+1/2'
'x+1/2,y,-z+1/2'
'x+1/2,-y+1/2,-z+1/2'
'-x+1/2,y+1/2,z+1/2'
'-x,y+1/2,-z'
'x,-y+1/2,z'
loop_
_atom_site_label
_atom_site_fract_x
_atom_site_fract_y
_atom_site_fract_z
Dy1 0.041 0.250 0.170
Sc1 0.129 0.250 0.560
Sn1 0.246 0.750 0.364
```


The following is a theoretical XRD peak list of DyScTa. It was derived from the GGA-PBE geometry in Alexandria, using Cu Kα (weighted mean of Kα1 and Kα2).

The 10 most intense peaks (2θ = 15–90°), low angle first:
(hkl)	2θ (°)	d_spacing	intensity
0 2 0	23.14	3.844	44
0 0 4	25.20	3.534	84
1 1 3	27.40	3.256	29
0 2 4	34.47	2.602	62
2 0 2	34.70	2.585	100
1 3 1	39.23	2.296	52
2 2 2	42.12	2.145	48
1 3 3	43.37	2.087	25
2 0 6	50.82	1.797	34
2 2 6	56.54	1.628	32

Structure:
```
data_DyScTa
_chemical_formula_sum 'Dy8 Sc8 Ta8'
_space_group_name_H-M_alt 'F m m m'
_space_group_IT_number 69
_space_group_name_Hall '-F 2 2'
_cell_length_a 5.556
_cell_length_b 7.688
_cell_length_c 14.136
_cell_angle_alpha 90.00
_cell_angle_beta 90.00
_cell_angle_gamma 90.00
loop_
_atom_site_label
_atom_site_fract_x
_atom_site_fract_y
_atom_site_fract_z
Dy1 0.250 0.250 0.250
Sc1 0.000 0.000 0.094
Ta1 0.000 0.165 0.500
```


The following is a theoretical XRD peak list of TbDySc. It was derived from the GGA-PBE geometry in Alexandria, using Cu Kα (weighted mean of Kα1 and Kα2).

The 10 most intense peaks (2θ = 15–90°), low angle first:
(hkl)	2θ (°)	d_spacing	intensity
1 0 0	18.76	4.730	31
1 0 1	32.61	2.746	100
1 1 0	32.80	2.731	84
2 0 1	46.92	1.936	36
2 1 1	58.43	1.580	38
3 0 0	58.55	1.577	16
1 1 2	65.00	1.435	23
2 2 0	68.75	1.365	10
3 1 1	78.18	1.223	16
3 0 2	84.04	1.152	11

Structure:
```
data_TbDySc
_chemical_formula_sum 'Tb1 Dy1 Sc1'
_space_group_name_H-M_alt 'P -6 m 2'
_space_group_IT_number 187
_space_group_name_Hall 'P -6 2'
_cell_length_a 5.4615
_cell_length_b 5.4615
_cell_length_c 3.3727
_cell_angle_alpha 90.00
_cell_angle_beta 90.00
_cell_angle_gamma 120.00
loop_
_atom_site_label
_atom_site_fract_x
_atom_site_fract_y
_atom_site_fract_z
Tb1 0.0000 0.0000 0.0000
Dy1 0.6667 0.3333 0.5000
Sc1 0.3333 0.6667 0.5000
```